1.
Starting from a GGA-PBE-relaxed structure, the XRD peak list of AcInGe2Pt5 was computed for Cu Kα, 1.54184 Å.
Peak positions follow from Bragg's law for the DFT cell and can differ from measured ones.

a b c (Å): 4.1792 4.1792 11.1775
angles (deg): 90.00 90.00 90.00
Fractional positions:
Ac1 0.0000 0.0000 0.0000
In1 0.0000 0.0000 0.5000
Ge1 0.5000 0.5000 0.2188
Ge2 0.5000 0.5000 0.7812
Pt1 0.0000 0.5000 0.3358
Pt2 0.0000 0.5000 0.6642
Pt3 0.5000 0.0000 0.3358
Pt4 0.5000 0.0000 0.6642
Pt5 0.5000 0.5000 0.0000

Peak list (8 most intense, 2θ = 15–90°, by angle)
d (Å)  I (rel.)
3.726  91
2.857  100
2.612  86
2.315  33
2.090  85
2.030  83
1.823  52
1.391  34

2.
Starting from a GGA-PBE-relaxed structure, the XRD peak list of Ac2InGeRh6 was computed for Cu Kα, 1.54184 Å.
Peak positions follow from Bragg's law for the DFT cell and can differ from measured ones.

a b c (Å): 6.7713 6.7713 6.7663
angles (deg): 119.96 119.96 60.08
Fractional positions:
Ac1 0.2500 0.2500 0.2499
Ac2 0.7500 0.7500 0.7501
In1 0.0000 0.0000 0.5000
Ge1 0.5000 0.5000 0.0000
Rh1 0.2608 0.2608 0.7609
Rh2 0.2608 0.7391 0.2392
Rh3 0.2609 0.7392 0.7608
Rh4 0.7391 0.2608 0.2392
Rh5 0.7392 0.2609 0.7608
Rh6 0.7392 0.7392 0.2391

Peak list (8 most intense, 2θ = 15–90°, by angle)
d (Å)  I (rel.)
3.386  57
2.765  97
2.394  100
1.955  25
1.693  57
1.514  12
1.444  39
1.383  17

3.
Starting from a GGA-PBE-relaxed structure, the XRD peak list of Ac2GeIr was computed for Cu Kα, 1.54184 Å.
Peak positions follow from Bragg's law for the DFT cell and can differ from measured ones.

a b c (Å): 6.2624 4.3488 8.9090
angles (deg): 90.00 109.32 90.00
Fractional positions:
Ac1 0.1895 0.2500 0.4111
Ac2 0.2780 0.7500 0.0546
Ac3 0.7220 0.2500 0.9454
Ac4 0.8105 0.7500 0.5889
Ge1 0.3511 0.7500 0.7096
Ge2 0.6489 0.2500 0.2904
Ir1 0.1381 0.2500 0.7877
Ir2 0.8619 0.7500 0.2123

Peak list (8 most intense, 2θ = 15–90°, by angle)
d (Å)  I (rel.)
3.026  100
2.955  21
2.913  27
2.444  33
2.433  30
2.420  22
2.259  25
2.174  25

4.
Starting from a GGA-PBE-relaxed structure, the XRD peak list of Ac2Ge6Ir was computed for Cu Kα, 1.54184 Å.
Peak positions follow from Bragg's law for the DFT cell and can differ from measured ones.

a b c (Å): 4.4130 11.7907 11.7907
angles (deg): 20.46 90.00 90.00
Fractional positions:
Ac1 0.0000 0.0000 0.0000
Ac2 0.0000 0.3306 0.3306
Ge1 0.0000 0.6098 0.6098
Ge2 0.0000 0.7167 0.7167
Ge3 0.5000 0.1058 0.1058
Ge4 0.5000 0.2134 0.2134
Ge5 0.5000 0.4469 0.4469
Ge6 0.5000 0.8809 0.8809
Ir1 0.5000 0.7724 0.7724

Peak list (8 most intense, 2θ = 15–90°, by angle)
d (Å)  I (rel.)
3.683  16
2.908  39
2.828  100
2.206  23
2.196  23
2.094  20
1.699  16
1.556  17

5.
Starting from a GGA-PBE-relaxed structure, the XRD peak list of Ac3Ge2Ir2 was computed for Cu Kα, 1.54184 Å.
Peak positions follow from Bragg's law for the DFT cell and can differ from measured ones.

a b c (Å): 9.9694 9.9694 9.9694
angles (deg): 154.17 153.68 37.21
Fractional positions:
Ac1 0.0000 0.0000 0.0000
Ac2 0.3212 0.8212 0.5000
Ac3 0.6788 0.1788 0.5000
Ge1 0.1336 0.6336 0.5000
Ge2 0.8664 0.3664 0.5000
Ir1 0.4280 0.4280 0.0000
Ir2 0.5720 0.5720 0.0000

Peak list (8 most intense, 2θ = 15–90°, by angle)
d (Å)  I (rel.)
3.682  29
3.014  100
2.882  62
2.269  29
2.238  26
2.228  28
1.906  27
1.783  31

6.
Starting from a GGA-PBE-relaxed structure, the XRD peak list of Ac8Ge3Te4Ir was computed for Cu Kα, 1.54184 Å.
Peak positions follow from Bragg's law for the DFT cell and can differ from measured ones.

a b c (Å): 9.4623 9.4623 9.4623
angles (deg): 58.26 58.26 58.26
Fractional positions:
Ac1 0.2423 0.2423 0.2423
Ac2 0.2467 0.7346 0.7346
Ac3 0.2654 0.2654 0.7533
Ac4 0.2654 0.7533 0.2654
Ac5 0.7346 0.2467 0.7346
Ac6 0.7346 0.7346 0.2467
Ac7 0.7533 0.2654 0.2654
Ac8 0.7577 0.7577 0.7577
Ge1 0.0000 0.0000 0.5000
Ge2 0.0000 0.5000 0.0000
Ge3 0.5000 0.0000 0.0000
Te1 0.0000 0.0000 0.0000
Te2 0.0000 0.5000 0.5000
Te3 0.5000 0.0000 0.5000
Te4 0.5000 0.5000 0.0000
Ir1 0.5000 0.5000 0.5000

Peak list (8 most intense, 2θ = 15–90°, by angle)
d (Å)  I (rel.)
3.777  14
3.299  100
2.364  35
2.303  40
1.888  21
1.491  13
1.460  18
1.341  12